(1)
# In3Bi3Se8
Theoretical powder X-ray diffraction pattern, copper Kα. Input: a structure optimized by DFT (PBE).
Intensities are scaled so that the largest is 100.

Atomic structure:
Unit cell a=8.4899 b=8.4899 c=8.4899 alpha=60.75 beta=60.75 gamma=60.75
Positions (direct):
In 0.0000 0.0000 0.0000
In 0.3801 0.3801 0.3801
In 0.6199 0.6199 0.6199
Bi 0.0000 0.0000 0.5000
Bi 0.0000 0.5000 0.0000
Bi 0.5000 0.0000 0.0000
Se 0.2297 0.7633 0.7633
Se 0.2367 0.2367 0.7703
Se 0.2367 0.7703 0.2367
Se 0.2468 0.2468 0.2468
Se 0.7532 0.7532 0.7532
Se 0.7633 0.2297 0.7633
Se 0.7633 0.7633 0.2297
Se 0.7703 0.2367 0.2367

The 10 most intense peaks (5° ≤ 2θ ≤ 70°), in order of rising 2θ:
two_theta	d [Å]	I (rel.)
12.65	6.997	23
12.84	6.892	20
24.32	3.659	57
24.43	3.644	52
24.63	3.614	30
29.60	3.018	100
38.74	2.324	30
42.10	2.147	75
42.60	2.122	73
61.44	1.509	24

(2)
# Cs8Au3O2
Theoretical powder X-ray diffraction pattern, copper Kα. Input: a structure optimized by DFT (PBE).
Intensities are scaled so that the largest is 100.

Atomic structure:
Unit cell a=9.3473 b=9.3473 c=9.2592 alpha=109.28 beta=109.28 gamma=69.47
Positions (direct):
Cs 0.1208 0.1208 0.2292
Cs 0.1618 0.5780 0.2658
Cs 0.3478 0.3478 0.6790
Cs 0.4220 0.8382 0.7342
Cs 0.5780 0.1618 0.2658
Cs 0.6522 0.6522 0.3210
Cs 0.8382 0.4220 0.7342
Cs 0.8792 0.8792 0.7708
Au 0.0000 0.0000 0.5000
Au 0.2805 0.7195 0.0000
Au 0.7195 0.2805 0.0000
O 0.3170 0.3170 0.3715
O 0.6830 0.6830 0.6285

The 10 most intense peaks (5° ≤ 2θ ≤ 70°), in order of rising 2θ:
two_theta	d [Å]	I (rel.)
12.58	7.034	16
19.66	4.514	35
20.98	4.235	14
25.63	3.476	100
25.87	3.444	18
28.65	3.116	17
33.55	2.671	42
33.66	2.663	13
39.33	2.291	35
52.60	1.740	15